# 1
For ScSnRh2, a crystal structure in the Materials Project, relaxed with PBE gives the simulated XRD peak list in this record (CuKα).

Peak list (8 most intense, 10 to 90 degrees two-theta, low angle first)
d/Å  Position (°2θ)  Rel. int.
3.734  23.83  10
2.287  39.40  100
1.950  46.57  6
1.617  56.95  17
1.484  62.60  3
1.320  71.45  34
1.143  84.79  11
1.093  89.68  2

a b c (Å): 6.468 6.468 6.468
angles (deg): 90.00 90.00 90.00
Element x y z (fractional)
Sc: 0.000 0.000 0.000
Sc: 0.000 0.500 0.500
Sc: 0.500 0.000 0.500
Sc: 0.500 0.500 0.000
Sn: 0.000 0.000 0.500
Sn: 0.000 0.500 0.000
Sn: 0.500 0.000 0.000
Sn: 0.500 0.500 0.500
Rh: 0.250 0.250 0.250
Rh: 0.250 0.250 0.750
Rh: 0.250 0.750 0.250
Rh: 0.250 0.750 0.750
Rh: 0.750 0.250 0.250
Rh: 0.750 0.250 0.750
Rh: 0.750 0.750 0.250
Rh: 0.750 0.750 0.750

---

# 2
For HfB2O5, a crystal structure in the Materials Project, relaxed with PBE gives the simulated XRD peak list in this record (CuKα).

Peak list (8 most intense, 10 to 90 degrees two-theta, low angle first)
d/Å  Position (°2θ)  Rel. int.
5.507  16.10  67
4.514  19.67  50
4.411  20.13  100
3.786  23.50  55
3.242  27.51  76
2.618  34.25  69
2.607  34.40  68
2.329  38.65  41

a b c (Å): 4.412 6.949 9.029
angles (deg): 90.00 90.68 90.00
Element x y z (fractional)
Hf: 0.001 0.112 0.170
Hf: 0.001 0.388 0.670
Hf: 0.999 0.612 0.330
Hf: 0.999 0.888 0.830
B: 0.465 0.087 0.667
B: 0.465 0.413 0.167
B: 0.473 0.729 0.577
B: 0.473 0.771 0.077
B: 0.527 0.229 0.923
B: 0.527 0.271 0.423
B: 0.535 0.587 0.833
B: 0.535 0.913 0.333
O: 0.212 0.590 0.820
O: 0.212 0.910 0.320
O: 0.231 0.597 0.532
O: 0.231 0.903 0.032
O: 0.304 0.155 0.808
O: 0.304 0.345 0.308
O: 0.329 0.605 0.151
O: 0.329 0.895 0.651
O: 0.347 0.222 0.555
O: 0.347 0.278 0.055
O: 0.653 0.722 0.945
O: 0.653 0.778 0.445
O: 0.671 0.105 0.349
O: 0.671 0.395 0.849
O: 0.696 0.655 0.692
O: 0.696 0.845 0.192
O: 0.769 0.097 0.968
O: 0.769 0.403 0.468
O: 0.788 0.090 0.680
O: 0.788 0.410 0.180

---

# 3
For CsUCuSe3, a crystal structure in the Materials Project, relaxed with PBE gives the simulated XRD peak list in this record (CuKα).

Peak list (8 most intense, 10 to 90 degrees two-theta, low angle first)
d/Å  Position (°2θ)  Rel. int.
8.082  10.95  100
4.469  19.87  55
3.286  27.14  42
3.142  28.41  64
2.802  31.94  50
2.303  39.12  57
2.233  40.39  39
2.075  43.63  43

a b c (Å): 8.344 8.344 10.727
angles (deg): 90.00 90.00 151.23
Element x y z (fractional)
Cs: 0.243 0.757 0.750
Cs: 0.757 0.243 0.250
U: 0.500 0.500 0.000
U: 0.500 0.500 0.500
Cu: 0.031 0.969 0.250
Cu: 0.969 0.031 0.750
Se: 0.115 0.885 0.059
Se: 0.115 0.885 0.441
Se: 0.443 0.557 0.250
Se: 0.557 0.443 0.750
Se: 0.885 0.115 0.559
Se: 0.885 0.115 0.941

---

# 4
For Nd2Fe20Mo4N, a crystal structure in the Materials Project, relaxed with PBE gives the simulated XRD peak list in this record (CuKα).

Peak list (8 most intense, 10 to 90 degrees two-theta, low angle first)
d/Å  Position (°2θ)  Rel. int.
2.470  36.37  61
2.400  37.47  22
2.161  41.80  56
2.145  42.13  100
2.098  43.11  74
1.888  48.21  25
1.331  70.80  20
1.235  77.24  20

a b c (Å): 6.561 6.561 12.234
angles (deg): 90.02 90.02 42.91
Element x y z (fractional)
Nd: 0.000 0.000 0.000
Nd: 0.500 0.500 0.500
Fe: 0.000 0.500 0.000
Fe: 0.000 0.500 0.500
Fe: 0.112 0.112 0.389
Fe: 0.115 0.115 0.615
Fe: 0.180 0.180 0.820
Fe: 0.249 0.751 0.253
Fe: 0.249 0.751 0.747
Fe: 0.320 0.320 0.680
Fe: 0.389 0.389 0.888
Fe: 0.390 0.390 0.111
Fe: 0.500 0.000 0.000
Fe: 0.500 0.000 0.500
Fe: 0.610 0.610 0.889
Fe: 0.611 0.611 0.112
Fe: 0.680 0.680 0.320
Fe: 0.751 0.249 0.253
Fe: 0.751 0.249 0.747
Fe: 0.820 0.820 0.180
Fe: 0.885 0.885 0.385
Fe: 0.888 0.888 0.611
Mo: 0.179 0.179 0.180
Mo: 0.320 0.320 0.320
Mo: 0.680 0.680 0.680
Mo: 0.821 0.821 0.820
N: 0.500 0.500 0.000

---

# 5
For Y2Si2O7, a crystal structure in the Materials Project, relaxed with PBE gives the simulated XRD peak list in this record (CuKα).

Peak list (8 most intense, 10 to 90 degrees two-theta, low angle first)
d/Å  Position (°2θ)  Rel. int.
4.732  18.75  36
3.565  24.98  61
3.266  27.31  28
3.086  28.94  100
2.682  33.41  45
2.096  43.17  24
2.089  43.30  24
1.767  51.72  31

a b c (Å): 5.115 8.140 7.449
angles (deg): 90.00 107.10 90.00
Element x y z (fractional)
Y: 0.000 0.000 0.000
Y: 0.000 0.500 0.000
Y: 0.500 0.000 0.500
Y: 0.500 0.500 0.500
Si: 0.026 0.250 0.607
Si: 0.399 0.750 0.816
Si: 0.601 0.250 0.184
Si: 0.974 0.750 0.393
O: 0.035 0.580 0.297
O: 0.035 0.920 0.297
O: 0.185 0.750 0.940
O: 0.241 0.750 0.585
O: 0.317 0.250 0.558
O: 0.421 0.083 0.172
O: 0.421 0.417 0.172
O: 0.579 0.583 0.828
O: 0.579 0.917 0.828
O: 0.683 0.750 0.442
O: 0.759 0.250 0.415
O: 0.815 0.250 0.060
O: 0.965 0.080 0.703
O: 0.965 0.420 0.703

---

# 6
For Te4MoW3Se2S2, a crystal structure in the Materials Project, relaxed with PBE gives the simulated XRD peak list in this record (CuKα).

Peak list (8 most intense, 10 to 90 degrees two-theta, low angle first)
d/Å  Position (°2θ)  Rel. int.
7.771  11.39  100
6.476  13.67  20
2.939  30.42  47
2.515  35.70  87
2.430  37.00  18
2.096  43.16  48
2.018  44.91  17
1.697  54.03  32

a b c (Å): 3.395 3.395 38.855
angles (deg): 90.00 90.00 120.00
Element x y z (fractional)
Te: 0.000 0.000 0.000
Te: 0.000 0.000 0.097
Te: 0.000 0.000 0.376
Te: 0.000 0.000 0.473
Mo: 0.667 0.333 0.048
W: 0.000 0.000 0.236
W: 0.000 0.000 0.612
W: 0.667 0.333 0.424
Se: 0.667 0.333 0.193
Se: 0.667 0.333 0.279
S: 0.667 0.333 0.573
S: 0.667 0.333 0.651

---

# 7
For K2TeO5, a crystal structure in the Materials Project, relaxed with PBE gives the simulated XRD peak list in this record (CuKα).

Peak list (8 most intense, 10 to 90 degrees two-theta, low angle first)
d/Å  Position (°2θ)  Rel. int.
6.777  13.06  100
5.952  14.89  27
5.902  15.01  27
5.080  17.46  23
3.696  24.08  28
3.326  26.80  32
3.282  27.17  29
2.787  32.11  23

a b c (Å): 13.959 13.959 13.959
angles (deg): 152.44 122.94 64.52
Element x y z (fractional)
K: 0.094 0.094 0.000
K: 0.121 0.836 0.285
K: 0.236 0.236 0.000
K: 0.449 0.164 0.285
K: 0.551 0.836 0.715
K: 0.764 0.764 0.000
K: 0.879 0.164 0.715
K: 0.906 0.906 0.000
Te: 0.047 0.664 0.383
Te: 0.280 0.664 0.617
Te: 0.720 0.336 0.383
Te: 0.953 0.336 0.617
O: 0.014 0.726 0.289
O: 0.038 0.378 0.090
O: 0.038 0.949 0.660
O: 0.109 0.609 0.500
O: 0.111 0.397 0.714
O: 0.219 0.719 0.500
O: 0.288 0.378 0.340
O: 0.288 0.949 0.910
O: 0.317 0.603 0.714
O: 0.437 0.726 0.711
O: 0.563 0.274 0.289
O: 0.683 0.397 0.286
O: 0.712 0.051 0.090
O: 0.712 0.622 0.660
O: 0.781 0.281 0.500
O: 0.889 0.603 0.286
O: 0.891 0.391 0.500
O: 0.962 0.051 0.340
O: 0.962 0.622 0.910
O: 0.986 0.274 0.711

---

# 8
For LiTi8O16, a crystal structure in the Materials Project, relaxed with PBE gives the simulated XRD peak list in this record (CuKα).

Peak list (8 most intense, 10 to 90 degrees two-theta, low angle first)
d/Å  Position (°2θ)  Rel. int.
3.591  24.79  67
3.547  25.10  100
3.511  25.37  27
3.496  25.48  49
2.976  30.03  25
2.929  30.52  88
1.912  47.55  27
1.677  54.72  24

a b c (Å): 5.190 5.566 9.300
angles (deg): 89.24 89.35 89.30
Element x y z (fractional)
Li: 0.000 0.000 0.000
Ti: 0.185 0.715 0.768
Ti: 0.188 0.227 0.530
Ti: 0.415 0.730 0.271
Ti: 0.437 0.232 0.029
Ti: 0.676 0.014 0.765
Ti: 0.687 0.520 0.530
Ti: 0.913 0.019 0.287
Ti: 0.925 0.512 0.035
O: 0.007 0.014 0.669
O: 0.013 0.515 0.632
O: 0.094 0.745 0.163
O: 0.102 0.235 0.134
O: 0.241 0.977 0.391
O: 0.249 0.477 0.910
O: 0.353 0.983 0.894
O: 0.370 0.479 0.410
O: 0.510 0.239 0.634
O: 0.512 0.738 0.670
O: 0.599 0.514 0.132
O: 0.604 0.011 0.168
O: 0.737 0.775 0.393
O: 0.757 0.251 0.915
O: 0.864 0.760 0.888
O: 0.869 0.279 0.413

---

# 9
For RbMg2, a crystal structure in the Materials Project, relaxed with PBE gives the simulated XRD peak list in this record (CuKα).

Peak list (8 most intense, 10 to 90 degrees two-theta, low angle first)
d/Å  Position (°2θ)  Rel. int.
4.550  19.51  100
3.941  22.56  62
3.541  25.15  54
3.406  26.16  30
2.991  29.88  34
2.634  34.04  85
2.416  37.21  23
2.379  37.81  24

a b c (Å): 3.845 27.250 4.832
angles (deg): 90.00 90.00 90.00
Element x y z (fractional)
Rb: 0.000 0.173 0.250
Rb: 0.000 0.827 0.750
Rb: 0.500 0.327 0.750
Rb: 0.500 0.673 0.250
Mg: 0.000 0.049 0.750
Mg: 0.000 0.457 0.750
Mg: 0.000 0.543 0.250
Mg: 0.000 0.951 0.250
Mg: 0.500 0.043 0.250
Mg: 0.500 0.451 0.250
Mg: 0.500 0.549 0.750
Mg: 0.500 0.957 0.750

---

# 10
For NiS2, a crystal structure in the Materials Project, relaxed with PBE gives the simulated XRD peak list in this record (CuKα).

Peak list (8 most intense, 10 to 90 degrees two-theta, low angle first)
d/Å  Position (°2θ)  Rel. int.
4.872  18.21  23
3.573  24.92  29
2.809  31.86  100
2.749  32.58  38
2.146  42.11  21
1.821  50.09  40
1.804  50.60  31
1.784  51.19  25

a b c (Å): 9.106 3.569 5.767
angles (deg): 90.00 90.00 90.00
Element x y z (fractional)
Ni: 0.134 0.250 0.167
Ni: 0.366 0.750 0.667
Ni: 0.634 0.250 0.333
Ni: 0.866 0.750 0.833
S: 0.033 0.250 0.792
S: 0.210 0.250 0.560
S: 0.290 0.750 0.060
S: 0.467 0.750 0.292
S: 0.533 0.250 0.708
S: 0.710 0.250 0.940
S: 0.790 0.750 0.440
S: 0.967 0.750 0.208

---

# 11
For SnP2N2O6, a crystal structure in the Materials Project, relaxed with PBE gives the simulated XRD peak list in this record (CuKα).

Peak list (8 most intense, 10 to 90 degrees two-theta, low angle first)
d/Å  Position (°2θ)  Rel. int.
8.564  10.33  100
4.922  18.02  33
4.162  21.35  19
4.013  22.15  32
3.345  26.65  16
3.319  26.86  17
3.255  27.40  16
3.243  27.51  18

a b c (Å): 5.053 10.324 11.159
angles (deg): 72.75 78.87 89.63
Element x y z (fractional)
Sn: 0.116 0.359 0.182
Sn: 0.884 0.641 0.818
P: 0.251 0.768 0.983
P: 0.474 0.240 0.413
P: 0.526 0.760 0.587
P: 0.749 0.232 0.017
N: 0.108 0.930 0.308
N: 0.365 0.353 0.740
N: 0.635 0.647 0.260
N: 0.892 0.070 0.692
O: 0.071 0.791 0.884
O: 0.171 0.811 0.098
O: 0.253 0.216 0.345
O: 0.294 0.664 0.670
O: 0.449 0.175 0.551
O: 0.500 0.308 0.043
O: 0.500 0.692 0.957
O: 0.551 0.825 0.449
O: 0.706 0.336 0.330
O: 0.747 0.784 0.655
O: 0.829 0.189 0.902
O: 0.929 0.209 0.116